Starting from a cell relaxed with GGA-PBE, the XRD peak list of Tb2PmY5Tm was simulated for copper Kα.
No peak broadening, texture or thermal motion is included.

Principal peaks in the range 2θ from 5° to 70°, low angle first:
d_spacing, 2theta, Rel. int.
3.145, 28.38, 52
3.105, 28.75, 55
2.856, 31.32, 100
2.434, 36.93, 27
2.132, 42.39, 34
1.862, 48.91, 21

Cell and atoms:
```
Tb2PmY5Tm
1.0
-4.4472 4.4472 7.4505
4.4472 -4.4472 7.4505
4.4472 4.4472 -7.4505
Tb Pm Y Tm
4 2 10 2
Cartesian
5.4558 1.0086 0.0000 Tb
1.0086 3.4386 0.0000 Tb
3.4386 1.0086 7.4505 Tb
-1.0086 3.4386 7.4505 Tb
0.0000 0.0000 3.7253 Pm
0.0000 0.0000 11.1758 Pm
0.0000 0.0000 0.0000 Y
2.6166 1.8306 -1.9936 Y
2.6166 -1.8306 5.4569 Y
2.6166 1.8306 1.9936 Y
2.6166 -1.8306 9.4442 Y
0.0000 0.0000 7.4505 Y
1.8306 6.2778 -1.9936 Y
1.8306 2.6166 5.4569 Y
1.8306 6.2778 1.9936 Y
1.8306 2.6166 9.4442 Y
4.4472 0.0000 3.7253 Tm
0.0000 4.4472 3.7253 Tm
```